Starting from a cell relaxed with PBE+U, the XRD peak list of SrSc4Mn3O12 was simulated for Cu Kα.
No peak broadening, texture or thermal motion is included.

Structural model:
abc: 7.807 7.807 7.807
angles: 90.00 90.00 90.00
Space group Im-3 (No. 204)
Inequivalent atoms, fractional coordinates:
1 Sr 0.000 0.000 0.000 (multiplicity 2)
2 Sc 0.250 0.250 0.250 (multiplicity 8)
3 Mn 0.000 0.000 0.500 (multiplicity 6)
4 O 0.000 0.316 0.168 (multiplicity 24)

Largest 10 diffraction maxima, sorted by position, 10° ≤ 2θ ≤ 90°:
two_theta, I (rel.)
22.78, 3
32.44, 100
36.39, 12
40.01, 5
43.37, 8
46.53, 25
57.86, 54
67.92, 12
77.30, 17
86.34, 5